1.
The following is a calculated PXRD pattern of Ba3NaP6. It was derived from the GGA-PBE geometry in Alexandria, using Cu Kα, 1.54184 Å.

Atomic structure:
```
20
Lattice="6.2168 3.5892 3.9953 -6.2168 3.5892 3.9953 0.0000 -7.1785 3.9953" Properties=species:S:1:pos:R:3 pbc="T T T"
Ba -3.4648 1.1772 4.9941
Ba -2.7519 -2.4120 6.9917
Ba 0.7129 -3.5892 4.9941
Ba -0.7129 3.5892 6.9917
Ba 2.7519 2.4120 4.9941
Ba 3.4648 -1.1772 6.9917
Na 0.0000 0.0000 0.0000
Na 0.0000 0.0000 5.9929
P -0.4500 -2.5792 2.0703
P -2.0086 -1.6794 3.9226
P -2.0086 1.6794 2.0703
P -0.4500 2.5792 3.9226
P 2.4587 0.8999 2.0703
P 2.4587 -0.8999 3.9226
P -2.4587 0.8999 8.0632
P -2.4587 -0.8999 9.9155
P 0.4500 -2.5792 8.0632
P 2.0086 -1.6794 9.9155
P 2.0086 1.6794 8.0632
P 0.4500 2.5792 9.9155
```

Largest 8 diffraction maxima, most intense first, 2θ from 15° to 90°:
2θ/deg	Rel. int.
30.9	100.0
34.2	69.5
26.5	51.7
49.5	40.5
33.5	40.5
44.7	40.5
28.7	33.1
22.2	31.6

2.
The following is a calculated PXRD pattern of Ba5Na2P2. It was derived from the GGA-PBE geometry in Alexandria, using Cu Kα, 1.54184 Å.

Atomic structure:
```
9
Lattice="0.0000 6.7166 8.9001 4.3813 0.0000 8.9001 4.3813 6.7166 0.0000" Properties=species:S:1:pos:R:3 pbc="T T T"
Ba 0.0000 0.0000 0.0000
Ba 2.1906 3.3583 2.1643
Ba 2.1906 3.3583 6.7357
Ba 6.5719 10.0748 11.0644
Ba 6.5719 10.0748 15.6358
Na 4.3813 6.7166 4.4095
Na 4.3813 6.7166 13.3906
P 4.3813 3.0829 8.9001
P 4.3813 10.3502 8.9001
```

Largest 8 diffraction maxima, most intense first, 2θ from 15° to 90°:
2θ/deg	Rel. int.
24.0	100.0
24.3	98.0
28.6	92.1
39.4	74.8
26.5	54.8
31.6	39.1
47.8	30.5
48.2	30.3

3.
The following is a calculated PXRD pattern of Ba2NaP3Pd4. It was derived from the GGA-PBE geometry in Alexandria, using Cu Kα, 1.54184 Å.

Atomic structure:
```
10
Lattice="4.4317 0.0000 0.0000 0.0000 4.4317 0.0000 0.0000 0.0000 10.3249" Properties=species:S:1:pos:R:3 pbc="T T T"
Ba 0.0000 2.2158 2.5551
Ba 2.2158 0.0000 7.7698
Na 0.0000 0.0000 5.1625
P 0.0000 2.2158 9.0861
P 2.2158 0.0000 1.2388
P 2.2158 2.2158 5.1625
Pd 0.0000 0.0000 0.0000
Pd 0.0000 2.2158 6.6531
Pd 2.2158 0.0000 3.6719
Pd 2.2158 2.2158 0.0000
```

Largest 8 diffraction maxima, most intense first, 2θ from 15° to 90°:
2θ/deg	Rel. int.
33.5	100.0
40.7	55.8
33.0	48.7
48.6	26.2
53.3	24.0
29.8	24.0
69.5	23.1
65.3	21.6

4.
The following is a calculated PXRD pattern of Ba6Na2PPt. It was derived from the GGA-PBE geometry in Alexandria, using Cu Kα, 1.54184 Å.

Atomic structure:
```
10
Lattice="-4.4950 4.4950 6.3518 4.4950 -4.4950 6.3518 4.4950 4.4950 -6.3518" Properties=species:S:1:pos:R:3 pbc="T T T"
Ba 0.0000 0.0000 0.0000
Ba 2.2473 2.2473 9.5276
Ba -2.2473 2.2473 9.5276
Ba 2.2473 -2.2473 9.5276
Ba 0.0000 0.0000 6.3532
Ba 2.2478 2.2478 3.1758
Na 0.0000 4.4950 6.3465
Na 4.4950 0.0000 6.3465
P 0.0000 0.0000 3.1770
Pt 0.0000 0.0000 9.5286
```

Largest 8 diffraction maxima, most intense first, 2θ from 15° to 90°:
2θ/deg	Rel. int.
28.1	100.0
40.1	75.9
24.3	65.1
31.5	50.1
65.7	35.2
47.4	31.2
49.7	27.1
42.7	27.1

5.
The following is a calculated PXRD pattern of BaNaPaS4. It was derived from the GGA-PBE geometry in Alexandria, using Cu Kα, 1.54184 Å.

Atomic structure:
```
14
Lattice="5.2680 0.0000 0.0000 0.0000 5.2680 0.0000 0.0000 0.0000 15.4464" Properties=species:S:1:pos:R:3 pbc="T T T"
Ba 0.0000 0.0000 0.0000
Ba 2.6340 2.6340 7.7232
Na 0.0000 0.0000 4.4685
Na 2.6340 2.6340 12.1918
Pa 0.0000 0.0000 9.8974
Pa 2.6340 2.6340 2.1742
S 0.0000 0.0000 7.2902
S 0.0000 0.0000 12.4219
S 0.0000 2.6340 2.1032
S 0.0000 2.6340 9.8264
S 2.6340 0.0000 2.1032
S 2.6340 0.0000 9.8264
S 2.6340 2.6340 4.6987
S 2.6340 2.6340 15.0134
```

Largest 8 diffraction maxima, most intense first, 2θ from 15° to 90°:
2θ/deg	Rel. int.
24.2	100.0
23.9	83.5
17.8	74.8
34.0	61.7
42.2	48.7
33.6	47.5
48.6	33.9
49.5	32.7

6.
The following is a calculated PXRD pattern of Ba2NaPaS5. It was derived from the GGA-PBE geometry in Alexandria, using Cu Kα, 1.54184 Å.

Atomic structure:
```
18
Lattice="2.1210 -8.9190 0.0000 2.1210 8.9190 0.0000 0.0000 0.0000 13.8639" Properties=species:S:1:pos:R:3 pbc="T T T"
Ba 2.1210 7.4189 6.9320
Ba 2.1210 6.6129 1.8893
Ba 2.1210 -6.6129 8.8213
Ba 2.1210 -7.4189 0.0000
Na 2.1210 0.7822 3.9738
Na 2.1210 -0.7822 10.9057
Pa 2.1210 4.9737 11.8938
Pa 2.1210 -4.9737 4.9618
S 2.1210 7.4401 12.4723
S 2.1210 4.2044 6.7157
S 2.1210 3.6681 3.2967
S 2.1210 2.3876 11.4917
S 2.1210 0.1025 8.4037
S 2.1210 -0.1025 1.4717
S 2.1210 -2.3876 4.5597
S 2.1210 -3.6681 10.2287
S 2.1210 -4.2044 13.6477
S 2.1210 -7.4401 5.5403
```

Largest 8 diffraction maxima, most intense first, 2θ from 15° to 90°:
2θ/deg	Rel. int.
29.0	100.0
16.2	62.5
21.7	43.1
26.6	31.9
35.3	31.7
30.8	29.3
20.9	27.7
22.5	25.3

7.
The following is a calculated PXRD pattern of BaNa2PaSe4. It was derived from the GGA-PBE geometry in Alexandria, using Cu Kα, 1.54184 Å.

Atomic structure:
```
16
Lattice="6.0314 0.0000 0.0000 0.0000 6.0314 0.0000 0.0000 0.0000 13.6410" Properties=species:S:1:pos:R:3 pbc="T T T"
Ba 0.0000 0.0000 0.0000
Ba 3.0157 3.0157 6.8205
Na 0.0000 0.0000 6.8205
Na 0.0000 3.0157 3.4103
Na 3.0157 0.0000 10.2308
Na 3.0157 3.0157 0.0000
Pa 0.0000 3.0157 10.2308
Pa 3.0157 0.0000 3.4103
Se 0.0000 0.0000 3.3908
Se 0.0000 0.0000 10.2503
Se 0.0000 3.0157 7.4444
Se 0.0000 3.0157 13.0172
Se 3.0157 0.0000 0.6238
Se 3.0157 0.0000 6.1967
Se 3.0157 3.0157 3.4298
Se 3.0157 3.0157 10.2113
```

Largest 8 diffraction maxima, most intense first, 2θ from 15° to 90°:
2θ/deg	Rel. int.
16.1	100.0
29.6	86.1
39.9	58.1
26.1	44.9
33.9	33.1
42.4	32.3
50.5	29.3
36.1	27.3

8.
The following is a calculated PXRD pattern of Ba3NaPb2. It was derived from the GGA-PBE geometry in Alexandria, using Cu Kα, 1.54184 Å.

Atomic structure:
```
12
Lattice="6.2485 0.0000 0.0000 0.0000 19.2012 0.0000 0.0000 0.0000 4.1692" Properties=species:S:1:pos:R:3 pbc="T T T"
Ba 0.0000 0.0000 0.0000
Ba 0.0000 6.1133 0.0000
Ba 0.0000 13.0879 0.0000
Ba 3.1242 3.4873 0.0000
Ba 3.1242 9.6006 0.0000
Ba 3.1242 15.7139 0.0000
Na 0.0000 9.6006 2.0846
Na 3.1242 0.0000 2.0846
Pb 0.0000 2.9197 2.0846
Pb 0.0000 16.2814 2.0846
Pb 3.1242 6.6808 2.0846
Pb 3.1242 12.5203 2.0846
```

Largest 8 diffraction maxima, most intense first, 2θ from 15° to 90°:
2θ/deg	Rel. int.
29.3	100.0
28.6	28.4
27.9	23.3
51.1	21.5
60.8	18.2
40.3	17.4
52.4	14.1
50.2	12.9

9.
The following is a calculated PXRD pattern of BaNa4Pb4. It was derived from the GGA-PBE geometry in Alexandria, using Cu Kα, 1.54184 Å.

Atomic structure:
```
18
Lattice="7.4494 0.0000 0.0000 0.0000 7.4494 0.0000 0.0000 0.0000 10.8332" Properties=species:S:1:pos:R:3 pbc="T T T"
Ba 1.8623 5.5870 2.7083
Ba 5.5870 1.8623 8.1249
Na 0.1089 1.8623 1.7650
Na 1.8623 0.1089 7.1816
Na 1.8623 3.6158 7.1816
Na 3.6158 1.8623 1.7650
Na 3.8336 5.5870 9.0682
Na 5.5870 3.8336 3.6516
Na 5.5870 7.3404 3.6516
Na 7.3404 5.5870 9.0682
Pb 0.3272 1.8623 4.9787
Pb 1.8623 0.3272 10.3953
Pb 1.8623 3.3975 10.3953
Pb 3.3975 1.8623 4.9787
Pb 4.0519 5.5870 5.8545
Pb 5.5870 4.0519 0.4379
Pb 5.5870 7.1222 0.4379
Pb 7.1222 5.5870 5.8545
```

Largest 8 diffraction maxima, most intense first, 2θ from 15° to 90°:
2θ/deg	Rel. int.
25.3	100.0
16.4	41.6
34.6	40.9
38.0	37.0
28.0	29.0
23.6	26.8
34.0	22.4
35.3	22.1

10.
The following is a calculated PXRD pattern of Ba3Na4Pb4. It was derived from the GGA-PBE geometry in Alexandria, using Cu Kα, 1.54184 Å.

Atomic structure:
```
11
Lattice="17.6283 -2.7873 0.0000 17.6283 2.7873 0.0000 -0.4674 0.0000 4.0488" Properties=species:S:1:pos:R:3 pbc="T T T"
Ba 0.0000 0.0000 0.0000
Ba 12.1283 0.0000 3.4622
Ba 22.6610 0.0000 0.5865
Na 2.9900 0.0000 2.3952
Na 8.9679 0.0000 1.0410
Na 25.8213 0.0000 3.0078
Na 31.7993 0.0000 1.6536
Pb 6.1378 0.0000 2.7677
Pb 15.8067 0.0000 1.8386
Pb 18.9826 0.0000 2.2102
Pb 28.6514 0.0000 1.2810
```

Largest 8 diffraction maxima, most intense first, 2θ from 15° to 90°:
2θ/deg	Rel. int.
27.6	100.0
32.4	93.2
29.0	69.8
32.1	53.0
56.1	45.8
15.2	43.2
20.3	42.9
28.2	41.5

11.
The following is a calculated PXRD pattern of BaNa4Pb. It was derived from the GGA-PBE geometry in Alexandria, using Cu Kα, 1.54184 Å.

Atomic structure:
```
6
Lattice="0.0000 4.7058 4.7058 4.7058 0.0000 4.7058 4.7058 4.7058 0.0000" Properties=species:S:1:pos:R:3 pbc="T T T"
Ba 0.0000 0.0000 0.0000
Na 5.8738 3.5379 3.5379
Na 3.5379 5.8738 3.5379
Na 3.5379 3.5379 5.8738
Na 5.8738 5.8738 5.8738
Pb 2.3529 2.3529 2.3529
```

Largest 8 diffraction maxima, most intense first, 2θ from 15° to 90°:
2θ/deg	Rel. int.
26.8	100.0
31.5	99.8
16.3	70.3
47.3	43.3
50.4	35.7
75.6	22.4
55.2	22.4
78.0	22.3

12.
The following is a calculated PXRD pattern of BaNa2Pb10. It was derived from the GGA-PBE geometry in Alexandria, using Cu Kα, 1.54184 Å.

Atomic structure:
```
13
Lattice="0.0000 7.6078 8.6661 3.2437 0.0000 8.6661 3.2437 7.6078 0.0000" Properties=species:S:1:pos:R:3 pbc="T T T"
Ba 0.0000 0.0000 0.0000
Na 1.6219 0.0000 4.3331
Na 1.6219 7.6078 4.3331
Pb 1.6219 3.8039 0.0000
Pb 3.2437 2.7475 5.6107
Pb 3.2437 5.9087 6.6269
Pb 3.2437 2.7475 11.7216
Pb 3.2437 9.3069 6.6269
Pb 1.6219 3.8039 8.6661
Pb 3.2437 5.9087 10.7054
Pb 3.2437 12.4681 5.6107
Pb 3.2437 9.3069 10.7054
Pb 3.2437 12.4681 11.7216
```

Largest 8 diffraction maxima, most intense first, 2θ from 15° to 90°:
2θ/deg	Rel. int.
31.3	100.0
29.8	98.6
32.9	90.2
31.7	84.5
34.5	74.1
36.1	69.8
27.1	64.2
27.5	61.4

13.
The following is a calculated PXRD pattern of Ba2Na2Pb3. It was derived from the GGA-PBE geometry in Alexandria, using Cu Kα, 1.54184 Å.

Atomic structure:
```
14
Lattice="11.9274 0.0000 0.0000 0.0000 5.4719 0.0000 -2.2728 0.0000 7.7400" Properties=species:S:1:pos:R:3 pbc="T T T"
Ba 1.2539 0.0000 1.8933
Ba 2.4370 2.7359 5.8468
Ba 7.2176 2.7359 1.8933
Ba 8.4007 0.0000 5.8468
Na -0.0016 0.0000 5.5577
Na 3.6925 2.7359 2.1823
Na 5.9621 2.7359 5.5577
Na 9.6562 0.0000 2.1823
Pb -1.1364 2.7359 3.8700
Pb -0.8688 2.7359 7.2024
Pb 4.5597 0.0000 0.5377
Pb 4.8273 0.0000 3.8700
Pb 5.0949 0.0000 7.2024
Pb 10.5234 2.7359 0.5377
```

Largest 8 diffraction maxima, most intense first, 2θ from 15° to 90°:
2θ/deg	Rel. int.
31.0	100.0
18.0	63.5
28.2	59.0
32.7	56.3
30.1	47.0
22.5	46.7
31.3	41.5
45.1	35.3